(1)
This entry pairs a crystal structure of Pr2MgS4 with its simulated X-ray diffraction stick pattern. Radiation: Cu Kα (λ = 1.5418 Å). Structure: the PBE geometry in the Materials Project.

Structural model:
```
data_Pr2MgS4
_chemical_formula_sum 'Pr8 Mg4 S16'
_cell_length_a 7.671
_cell_length_b 8.942
_cell_length_c 12.004
_cell_angle_alpha 100.42
_cell_angle_beta 96.60
_cell_angle_gamma 91.00
_symmetry_space_group_name_H-M 'P 1'
_symmetry_Int_Tables_number 1
_symmetry_space_group_name_Hall 'P 1'
loop_
_atom_site_label
_atom_site_type_symbol
_atom_site_fract_x
_atom_site_fract_y
_atom_site_fract_z
Pr1 Pr 0.132 0.447 0.335
Pr2 Pr 0.139 0.971 0.344
Pr3 Pr 0.253 0.131 0.998
Pr4 Pr 0.363 0.295 0.659
Pr5 Pr 0.637 0.705 0.341
Pr6 Pr 0.747 0.869 0.002
Pr7 Pr 0.861 0.029 0.656
Pr8 Pr 0.868 0.553 0.665
Mg1 Mg 0.250 0.613 0.994
Mg2 Mg 0.361 0.793 0.685
Mg3 Mg 0.639 0.207 0.315
Mg4 Mg 0.750 0.387 0.006
S1 S 0.095 0.412 0.105
S2 S 0.107 0.907 0.114
S3 S 0.200 0.547 0.602
S4 S 0.203 0.006 0.610
S5 S 0.301 0.719 0.380
S6 S 0.351 0.228 0.393
S7 S 0.384 0.833 0.890
S8 S 0.403 0.361 0.890
S9 S 0.597 0.639 0.110
S10 S 0.616 0.167 0.110
S11 S 0.649 0.772 0.607
S12 S 0.699 0.281 0.620
S13 S 0.797 0.994 0.390
S14 S 0.800 0.453 0.398
S15 S 0.893 0.093 0.886
S16 S 0.905 0.588 0.895
```

The 10 most intense peaks (10° ≤ 2θ ≤ 80°), in order of rising 2θ:
- 2θ 22.76, d = 3.907 Å, I 100, hkl 0 0 3
- 2θ 23.35, d = 3.810 Å, I 46, hkl 1 2 -1
- 2θ 23.46, d = 3.793 Å, I 34, hkl 1 -2 1
- 2θ 23.73, d = 3.749 Å, I 69, hkl 1 2 0
- 2θ 24.93, d = 3.571 Å, I 41, hkl -1 2 1
- 2θ 25.32, d = 3.518 Å, I 32, hkl 1 2 -2
- 2θ 25.45, d = 3.499 Å, I 38, hkl 2 0 1
- 2θ 26.31, d = 3.388 Å, I 37, hkl 2 0 -2
- 2θ 40.34, d = 2.236 Å, I 88, hkl 3 -2 0
- 2θ 41.00, d = 2.201 Å, I 55, hkl 3 2 -1

(2)
This entry pairs a crystal structure of La2MgIrO6 with its simulated X-ray diffraction stick pattern. Radiation: Cu Kα (λ = 1.5418 Å). Structure: the PBE geometry in the Materials Project.

Structural model:
```
data_La2MgIrO6
_chemical_formula_sum 'La4 Mg2 Ir2 O12'
_cell_length_a 5.598
_cell_length_b 5.718
_cell_length_c 9.729
_cell_angle_alpha 90.00
_cell_angle_beta 125.06
_cell_angle_gamma 90.00
_symmetry_space_group_name_H-M 'P 1'
_symmetry_Int_Tables_number 1
_symmetry_space_group_name_Hall 'P 1'
loop_
_atom_site_label
_atom_site_type_symbol
_atom_site_fract_x
_atom_site_fract_y
_atom_site_fract_z
La1 La 0.238 0.049 0.249
La2 La 0.238 0.451 0.749
La3 La 0.762 0.549 0.251
La4 La 0.762 0.951 0.751
Mg1 Mg 0.000 0.000 0.500
Mg2 Mg 0.000 0.500 0.000
Ir1 Ir 0.500 0.000 0.000
Ir2 Ir 0.500 0.500 0.500
O1 O 0.161 0.206 0.953
O2 O 0.161 0.294 0.453
O3 O 0.251 0.711 0.953
O4 O 0.251 0.789 0.453
O5 O 0.339 0.023 0.752
O6 O 0.339 0.477 0.252
O7 O 0.661 0.523 0.748
O8 O 0.661 0.977 0.248
O9 O 0.749 0.211 0.547
O10 O 0.749 0.289 0.047
O11 O 0.839 0.706 0.547
O12 O 0.839 0.794 0.047
```

The 10 most intense peaks (10° ≤ 2θ ≤ 80°), in order of rising 2θ:
- 2θ 19.11, d = 4.644 Å, I 24, hkl 0 1 1
- 2θ 19.38, d = 4.579 Å, I 23, hkl 1 0 -2
- 2θ 31.29, d = 2.859 Å, I 23, hkl 0 2 0
- 2θ 31.71, d = 2.822 Å, I 100, hkl 1 1 -3
- 2θ 31.97, d = 2.799 Å, I 25, hkl 2 0 -2
- 2θ 37.51, d = 2.398 Å, I 15, hkl 2 1 -1
- 2θ 45.34, d = 2.000 Å, I 23, hkl 2 2 -2
- 2θ 45.56, d = 1.991 Å, I 14, hkl 0 0 4
- 2θ 55.95, d = 1.643 Å, I 14, hkl 1 3 1
- 2θ 56.76, d = 1.622 Å, I 23, hkl 2 0 -6

(3)
This entry pairs a crystal structure of TiCu3O4 with its simulated X-ray diffraction stick pattern. Radiation: Cu Kα (λ = 1.5418 Å). Structure: the PBE geometry in the Materials Project.

Structural model:
```
data_TiCu3O4
_chemical_formula_sum 'Ti1 Cu3 O4'
_cell_length_a 3.010
_cell_length_b 3.010
_cell_length_c 11.606
_cell_angle_alpha 90.00
_cell_angle_beta 90.00
_cell_angle_gamma 120.00
_symmetry_space_group_name_H-M 'P 1'
_symmetry_Int_Tables_number 1
_symmetry_space_group_name_Hall 'P 1'
loop_
_atom_site_label
_atom_site_type_symbol
_atom_site_fract_x
_atom_site_fract_y
_atom_site_fract_z
Ti1 Ti 0.000 0.000 0.000
Cu1 Cu 0.000 0.000 0.500
Cu2 Cu 0.333 0.667 0.255
Cu3 Cu 0.667 0.333 0.745
O1 O 0.333 0.667 0.092
O2 O 0.333 0.667 0.410
O3 O 0.667 0.333 0.590
O4 O 0.667 0.333 0.908
```

The 10 most intense peaks (10° ≤ 2θ ≤ 80°), in order of rising 2θ:
- 2θ 30.82, d = 2.902 Å, I 43, hkl 0 0 4
- 2θ 35.29, d = 2.543 Å, I 95, hkl 1 0 1
- 2θ 37.84, d = 2.378 Å, I 100, hkl 1 0 2
- 2θ 41.79, d = 2.162 Å, I 13, hkl 0 1 3
- 2θ 52.81, d = 1.734 Å, I 22, hkl 1 0 5
- 2θ 59.51, d = 1.553 Å, I 37, hkl 1 0 6
- 2θ 61.63, d = 1.505 Å, I 35, hkl 1 1 0
- 2θ 66.88, d = 1.399 Å, I 14, hkl 0 1 7
- 2θ 70.49, d = 1.336 Å, I 23, hkl 1 1 4
- 2θ 74.64, d = 1.272 Å, I 12, hkl 0 2 2

(4)
This entry pairs a crystal structure of Na3Sc with its simulated X-ray diffraction stick pattern. Radiation: Cu Kα (λ = 1.5418 Å). Structure: the PBE geometry in the Materials Project.

Structural model:
```
data_Na3Sc
_chemical_formula_sum 'Na3 Sc1'
_cell_length_a 5.036
_cell_length_b 5.036
_cell_length_c 5.036
_cell_angle_alpha 90.00
_cell_angle_beta 90.00
_cell_angle_gamma 90.00
_symmetry_space_group_name_H-M 'P 1'
_symmetry_Int_Tables_number 1
_symmetry_space_group_name_Hall 'P 1'
loop_
_atom_site_label
_atom_site_type_symbol
_atom_site_fract_x
_atom_site_fract_y
_atom_site_fract_z
Na1 Na 0.000 0.000 0.500
Na2 Na 0.000 0.500 0.000
Na3 Na 0.500 0.000 0.000
Sc1 Sc 0.500 0.500 0.500
```

The 10 most intense peaks (10° ≤ 2θ ≤ 80°), in order of rising 2θ:
- 2θ 17.61, d = 5.036 Å, I 10, hkl 1 0 0
- 2θ 25.01, d = 3.561 Å, I 8, hkl 1 1 0
- 2θ 30.75, d = 2.907 Å, I 100, hkl 1 1 1
- 2θ 35.66, d = 2.518 Å, I 49, hkl 2 0 0
- 2θ 40.04, d = 2.252 Å, I 4, hkl 2 1 0
- 2θ 44.05, d = 2.056 Å, I 3, hkl 2 1 1
- 2θ 51.31, d = 1.780 Å, I 32, hkl 2 2 0
- 2θ 61.02, d = 1.518 Å, I 36, hkl 3 1 1
- 2θ 64.05, d = 1.454 Å, I 10, hkl 2 2 2
- 2θ 75.52, d = 1.259 Å, I 4, hkl 4 0 0

(5)
This entry pairs a crystal structure of Rb2CuCl3 with its simulated X-ray diffraction stick pattern. Radiation: Cu Kα (λ = 1.5418 Å). Structure: the PBE geometry in the Materials Project.

Structural model:
```
data_Rb2CuCl3
_chemical_formula_sum 'Rb8 Cu4 Cl12'
_cell_length_a 12.689
_cell_length_b 4.266
_cell_length_c 13.124
_cell_angle_alpha 90.00
_cell_angle_beta 90.00
_cell_angle_gamma 90.00
_symmetry_space_group_name_H-M 'P 1'
_symmetry_Int_Tables_number 1
_symmetry_space_group_name_Hall 'P 1'
loop_
_atom_site_label
_atom_site_type_symbol
_atom_site_fract_x
_atom_site_fract_y
_atom_site_fract_z
Rb1 Rb 0.013 0.250 0.173
Rb2 Rb 0.172 0.250 0.525
Rb3 Rb 0.328 0.750 0.025
Rb4 Rb 0.487 0.750 0.673
Rb5 Rb 0.513 0.250 0.327
Rb6 Rb 0.672 0.250 0.975
Rb7 Rb 0.828 0.750 0.475
Rb8 Rb 0.987 0.750 0.827
Cu1 Cu 0.243 0.750 0.310
Cu2 Cu 0.257 0.250 0.810
Cu3 Cu 0.743 0.750 0.190
Cu4 Cu 0.757 0.250 0.690
Cl1 Cl 0.066 0.750 0.359
Cl2 Cl 0.140 0.250 0.947
Cl3 Cl 0.227 0.750 0.722
Cl4 Cl 0.273 0.250 0.222
Cl5 Cl 0.360 0.750 0.447
Cl6 Cl 0.434 0.250 0.859
Cl7 Cl 0.566 0.750 0.141
Cl8 Cl 0.640 0.250 0.553
Cl9 Cl 0.727 0.750 0.778
Cl10 Cl 0.773 0.250 0.278
Cl11 Cl 0.860 0.750 0.053
Cl12 Cl 0.934 0.250 0.641
```

The 10 most intense peaks (10° ≤ 2θ ≤ 80°), in order of rising 2θ:
- 2θ 22.08, d = 4.026 Å, I 38, hkl 3 0 1
- 2θ 25.88, d = 3.443 Å, I 65, hkl 1 1 2
- 2θ 26.07, d = 3.418 Å, I 55, hkl 2 1 1
- 2θ 28.65, d = 3.116 Å, I 56, hkl 2 1 2
- 2θ 30.09, d = 2.970 Å, I 100, hkl 1 1 3
- 2θ 30.68, d = 2.914 Å, I 31, hkl 2 0 4
- 2θ 31.32, d = 2.856 Å, I 63, hkl 4 0 2
- 2θ 37.91, d = 2.373 Å, I 33, hkl 4 1 2
- 2θ 42.37, d = 2.133 Å, I 48, hkl 0 2 0
- 2θ 55.46, d = 1.657 Å, I 30, hkl 2 1 7

(6)
This entry pairs a crystal structure of SbF5 with its simulated X-ray diffraction stick pattern. Radiation: Cu Kα (λ = 1.5418 Å). Structure: the PBE geometry in the Materials Project.

Structural model:
```
data_SbF5
_chemical_formula_sum 'Sb2 F10'
_cell_length_a 3.708
_cell_length_b 4.583
_cell_length_c 9.216
_cell_angle_alpha 90.00
_cell_angle_beta 90.00
_cell_angle_gamma 90.00
_symmetry_space_group_name_H-M 'P 1'
_symmetry_Int_Tables_number 1
_symmetry_space_group_name_Hall 'P 1'
loop_
_atom_site_label
_atom_site_type_symbol
_atom_site_fract_x
_atom_site_fract_y
_atom_site_fract_z
Sb1 Sb 0.000 0.000 0.000
Sb2 Sb 0.500 0.500 0.500
F1 F 0.000 0.000 0.204
F2 F 0.000 0.000 0.796
F3 F 0.000 0.266 0.500
F4 F 0.000 0.500 0.000
F5 F 0.000 0.734 0.500
F6 F 0.500 0.000 0.500
F7 F 0.500 0.234 0.000
F8 F 0.500 0.500 0.296
F9 F 0.500 0.500 0.704
F10 F 0.500 0.766 0.000
```

The 10 most intense peaks (10° ≤ 2θ ≤ 80°), in order of rising 2θ:
- 2θ 19.26, d = 4.608 Å, I 100, hkl 0 0 2
- 2θ 21.66, d = 4.104 Å, I 92, hkl 0 1 1
- 2θ 25.90, d = 3.440 Å, I 55, hkl 1 0 1
- 2θ 31.02, d = 2.883 Å, I 52, hkl 1 1 0
- 2θ 39.10, d = 2.304 Å, I 28, hkl 0 0 4
- 2θ 47.68, d = 1.907 Å, I 56, hkl 1 2 1
- 2θ 49.14, d = 1.854 Å, I 17, hkl 2 0 0
- 2θ 50.72, d = 1.800 Å, I 18, hkl 1 1 4
- 2θ 55.86, d = 1.646 Å, I 21, hkl 1 2 3
- 2θ 70.28, d = 1.339 Å, I 20, hkl 1 2 5

(7)
This entry pairs a crystal structure of MgTa3 with its simulated X-ray diffraction stick pattern. Radiation: Cu Kα (λ = 1.5418 Å). Structure: the PBE geometry in the Materials Project.

Structural model:
```
data_MgTa3
_chemical_formula_sum 'Mg2 Ta6'
_cell_length_a 5.952
_cell_length_b 5.952
_cell_length_c 4.837
_cell_angle_alpha 90.00
_cell_angle_beta 90.00
_cell_angle_gamma 120.00
_symmetry_space_group_name_H-M 'P 1'
_symmetry_Int_Tables_number 1
_symmetry_space_group_name_Hall 'P 1'
loop_
_atom_site_label
_atom_site_type_symbol
_atom_site_fract_x
_atom_site_fract_y
_atom_site_fract_z
Mg1 Mg 0.333 0.667 0.250
Mg2 Mg 0.667 0.333 0.750
Ta1 Ta 0.162 0.325 0.750
Ta2 Ta 0.162 0.838 0.750
Ta3 Ta 0.325 0.162 0.250
Ta4 Ta 0.675 0.838 0.750
Ta5 Ta 0.838 0.162 0.250
Ta6 Ta 0.838 0.675 0.250
```

The 10 most intense peaks (10° ≤ 2θ ≤ 80°), in order of rising 2θ:
- 2θ 17.20, d = 5.154 Å, I 14, hkl 1 0 0
- 2θ 25.25, d = 3.527 Å, I 21, hkl 1 0 1
- 2θ 34.81, d = 2.577 Å, I 24, hkl 2 0 0
- 2θ 37.17, d = 2.419 Å, I 27, hkl 0 0 2
- 2θ 39.62, d = 2.275 Å, I 100, hkl 2 0 1
- 2θ 51.84, d = 1.764 Å, I 15, hkl 2 0 2
- 2θ 62.41, d = 1.488 Å, I 18, hkl 2 2 0
- 2θ 68.66, d = 1.367 Å, I 20, hkl 2 0 3
- 2θ 74.93, d = 1.267 Å, I 21, hkl 2 2 2
- 2θ 76.51, d = 1.245 Å, I 15, hkl 4 0 1

(8)
This entry pairs a crystal structure of Te3W2Se with its simulated X-ray diffraction stick pattern. Radiation: Cu Kα (λ = 1.5418 Å). Structure: the PBE geometry in the Materials Project.

Structural model:
```
data_Te3W2Se
_chemical_formula_sum 'Te6 W4 Se2'
_cell_length_a 3.497
_cell_length_b 3.497
_cell_length_c 39.674
_cell_angle_alpha 90.00
_cell_angle_beta 90.00
_cell_angle_gamma 120.00
_symmetry_space_group_name_H-M 'P 1'
_symmetry_Int_Tables_number 1
_symmetry_space_group_name_Hall 'P 1'
loop_
_atom_site_label
_atom_site_type_symbol
_atom_site_fract_x
_atom_site_fract_y
_atom_site_fract_z
Te1 Te 0.000 0.000 0.000
Te2 Te 0.000 0.000 0.093
Te3 Te 0.000 0.000 0.376
Te4 Te 0.000 0.000 0.469
Te5 Te 0.667 0.333 0.564
Te6 Te 0.667 0.333 0.656
W1 W 0.000 0.000 0.234
W2 W 0.000 0.000 0.610
W3 W 0.667 0.333 0.046
W4 W 0.667 0.333 0.422
Se1 Se 0.667 0.333 0.193
Se2 Se 0.667 0.333 0.275
```

The 10 most intense peaks (10° ≤ 2θ ≤ 80°), in order of rising 2θ:
- 2θ 11.15, d = 7.935 Å, I 100, hkl 0 0 5
- 2θ 13.39, d = 6.612 Å, I 17, hkl 0 0 6
- 2θ 29.51, d = 3.027 Å, I 42, hkl 1 0 0
- 2θ 31.62, d = 2.830 Å, I 14, hkl 1 0 5
- 2θ 34.70, d = 2.585 Å, I 88, hkl 1 0 8
- 2θ 42.03, d = 2.150 Å, I 55, hkl 1 0 13
- 2θ 43.75, d = 2.069 Å, I 18, hkl 1 0 14
- 2θ 52.33, d = 1.748 Å, I 33, hkl 1 1 0
- 2θ 64.32, d = 1.448 Å, I 15, hkl 2 0 8
- 2θ 73.84, d = 1.283 Å, I 16, hkl 1 1 21